Calculated powder diffractogram
Compound: Cr2IF
Radiation: Cu Kα X-rays
Structure: DFT lattice parameters and positions (PBE+U)

Cell lengths 5.6028, 5.6028, 12.8267 Å; angles 90.00, 90.00, 90.00 degrees
Space group I-42d (No. 122)
Asymmetric unit:
Cr  0.1435  0.2500  0.1250
I  0.0000  0.0000  0.5000
F  0.0000  0.0000  0.0000

Principal peaks in the range 2θ from 10° to 90°, in order of rising 2θ:
two_theta  Rel. int.  h k l
17.3  15  1 0 1
26.2  41  1 0 3
26.4  100  1 1 2
36.5  42  2 1 1
38.6  15  1 0 5
42.9  41  2 0 4
45.8  11  2 2 0
48.4  18  1 1 6
53.7  20  3 1 2
63.7  10  3 2 3


Calculated powder diffractogram
Compound: Li2Si2Ni3O8
Radiation: Cu Kα X-rays
Structure: DFT lattice parameters and positions (PBE+U)

Cell lengths 5.0066, 8.6852, 13.1401 Å; angles 70.97, 80.17, 89.61 degrees
Space group P1 (No. 1)
Asymmetric unit:
Li  0.0000  0.0000  0.0000
Li  0.0268  0.3599  0.9224
Li  0.1180  0.4824  0.7048
Li  0.6986  0.4041  0.5843
Li  0.8492  0.5393  0.3154
Li  0.9401  0.6602  0.0831
Si  0.0965  0.7568  0.8301
Si  0.2715  0.3083  0.4777
Si  0.4021  0.8001  0.1622
Si  0.5603  0.2391  0.8240
Si  0.8045  0.7696  0.5107
Si  0.8885  0.2809  0.1663
Ni  0.1055  0.1448  0.7256
Ni  0.2687  0.9259  0.5730
Ni  0.3344  0.6705  0.4145
Ni  0.3546  0.4276  0.2253
Ni  0.4239  0.1687  0.0709
Ni  0.5477  0.8693  0.9105
Ni  0.6312  0.6002  0.7620
Ni  0.8237  0.1545  0.4246
Ni  0.8732  0.9113  0.2616
O  0.0286  0.2834  0.5828
O  0.1070  0.3435  0.3718
O  0.1659  0.7889  0.9400
O  0.1936  0.6424  0.1890
O  0.2031  0.9576  0.1458
O  0.2068  0.9242  0.7251
O  0.2187  0.3232  0.1311
O  0.2358  0.5961  0.8067
O  0.3105  0.1854  0.9305
O  0.4106  0.3019  0.7157
O  0.4421  0.1425  0.4928
O  0.4778  0.7794  0.5049
O  0.5025  0.4579  0.4512
O  0.5587  0.7711  0.2681
O  0.6484  0.8392  0.0562
O  0.7481  0.4440  0.1850
O  0.7519  0.0805  0.8289
O  0.7655  0.7248  0.8456
O  0.7757  0.3830  0.8202
O  0.7975  0.2291  0.0672
O  0.8187  0.1241  0.2815
O  0.8561  0.6139  0.6151
O  0.9166  0.9402  0.5205
O  0.9661  0.7445  0.3960

Principal peaks in the range 2θ from 10° to 90°, in order of rising 2θ:
two_theta  Rel. int.  h k l
21.7  69  -1 1 1
21.8  83  0 0 3
24.8  48  1 1 -1
25.2  50  0 2 3
25.4  56  1 -1 2
27.5  38  0 1 -3
35.7  100  -1 1 4
35.9  88  0 2 -3
35.9  82  -1 3 1
36.3  75  1 1 5